Calculated X-ray diffraction stick pattern of Na2CoP2O7 for Cu Kα X-rays, from a cell relaxed with GGA+U.
Neutral-atom scattering factors, no anomalous dispersion.

Peak list (10 most intense, 2θ from 15° to 90°, by angle)
| 2θ (°) | I/Imax | index |
| --- | --- | --- |
| 16.33 | 100 | 0 2 1 |
| 19.95 | 71 | 0 0 2 |
| 21.88 | 25 | 0 3 1 |
| 23.36 | 29 | 1 2 0 |
| 23.78 | 32 | 1 2 -2 |
| 29.03 | 29 | 1 2 1 |
| 29.66 | 30 | 1 2 -3 |
| 34.09 | 46 | 2 0 -2 |
| 34.26 | 34 | 0 5 1 |
| 36.80 | 26 | 1 2 2 |

Structural model:
Lattice parameters (Å, degrees): 5.2612 13.6998 10.2224 90.00 119.46 90.00
Sites, in units of the cell vectors:
1 Na 0.0715 0.1074 0.3644
2 Na 0.0715 0.3926 0.8644
3 Na 0.4090 0.2041 0.1435
4 Na 0.4090 0.2959 0.6435
5 Na 0.5910 0.7041 0.3565
6 Na 0.5910 0.7959 0.8565
7 Na 0.9285 0.6074 0.1356
8 Na 0.9285 0.8926 0.6356
9 Co 0.0372 0.1679 0.7380
10 Co 0.0372 0.3321 0.2380
11 Co 0.9628 0.6679 0.7620
12 Co 0.9628 0.8321 0.2620
13 P 0.2836 0.6896 0.5477
14 P 0.2836 0.8104 0.0477
15 P 0.4681 0.5409 0.7666
16 P 0.4681 0.9591 0.2666
17 P 0.5319 0.0409 0.7334
18 P 0.5319 0.4591 0.2334
19 P 0.7164 0.1896 0.9523
20 P 0.7164 0.3104 0.4523
21 O 0.0758 0.6981 0.3775
22 O 0.0758 0.8019 0.8775
23 O 0.1589 0.7356 0.6406
24 O 0.1589 0.7644 0.1406
25 O 0.2216 0.5524 0.8068
26 O 0.2216 0.9476 0.3068
27 O 0.2817 0.1153 0.6443
28 O 0.2817 0.3847 0.1443
29 O 0.3224 0.5739 0.5876
30 O 0.3224 0.9261 0.0876
31 O 0.4102 0.2281 0.9118
32 O 0.4102 0.2719 0.4118
33 O 0.4316 0.5626 0.2252
34 O 0.4316 0.9374 0.7252
35 O 0.5684 0.0626 0.2748
36 O 0.5684 0.4374 0.7748
37 O 0.5898 0.7281 0.5882
38 O 0.5898 0.7719 0.0882
39 O 0.6776 0.0739 0.9124
40 O 0.6776 0.4261 0.4124
41 O 0.7183 0.6153 0.8557
42 O 0.7183 0.8847 0.3557
43 O 0.7784 0.0524 0.6932
44 O 0.7784 0.4476 0.1932
45 O 0.8411 0.2356 0.8594
46 O 0.8411 0.2644 0.3594
47 O 0.9242 0.1981 0.1225
48 O 0.9242 0.3019 0.6225